Record 1
KS: simulated powder XRD pattern (Cu Kα X-rays), based on a DFT-relaxed cell (GGA-PBE, the Materials Project).
Intensities are scaled so that the largest is 100.

The 10 most intense peaks (10 to 80 degrees two-theta), by intensity:
2θ/deg	d_spacing	I_rel
25.6	3.476	100
36.2	2.479	77
36.9	2.437	49
28.3	3.149	18
44.9	2.018	16
20.7	4.293	15
52.7	1.738	14
50.9	1.793	13
65.6	1.423	13
59.0	1.565	11

Structure:
a b c (Å): 8.5861 8.5861 5.9209
angles (deg): 90.00 90.00 120.00
Atoms (fractional coordinates):
1 K 0.0000 0.3574 0.0000
2 K 0.0000 0.6929 0.5000
3 K 0.3071 0.3071 0.5000
4 K 0.3574 0.0000 0.0000
5 K 0.6426 0.6426 0.0000
6 K 0.6929 0.0000 0.5000
7 S 0.0000 0.0000 0.1799
8 S 0.0000 0.0000 0.8201
9 S 0.3333 0.6667 0.3189
10 S 0.3333 0.6667 0.6811
11 S 0.6667 0.3333 0.3189
12 S 0.6667 0.3333 0.6811

Record 2
TmThTc2: simulated powder XRD pattern (Cu Kα X-rays), based on a DFT-relaxed cell (GGA-PBE, the Materials Project).
Intensities are scaled so that the largest is 100.

The 10 most intense peaks (10 to 80 degrees two-theta), by intensity:
2θ/deg	d_spacing	I_rel
36.8	2.445	100
66.2	1.412	36
53.0	1.729	18
25.8	3.458	12
78.2	1.223	11
59.8	1.547	5
45.4	1.997	4
22.3	3.993	2
43.4	2.085	1
58.1	1.587	1

Structure:
a b c (Å): 4.8906 4.8906 4.8906
angles (deg): 60.00 60.00 60.00
Atoms (fractional coordinates):
1 Tm 0.0000 0.0000 0.0000
2 Th 0.5000 0.5000 0.5000
3 Tc 0.2500 0.2500 0.2500
4 Tc 0.7500 0.7500 0.7500

Record 3
AgH8C4N8F: simulated powder XRD pattern (Cu Kα X-rays), based on a DFT-relaxed cell (GGA-PBE, the Materials Project).
Intensities are scaled so that the largest is 100.

The 10 most intense peaks (10 to 80 degrees two-theta), by intensity:
2θ/deg	d_spacing	I_rel
18.3	4.856	100
29.3	3.049	95
25.7	3.470	78
14.2	6.233	71
11.6	7.645	65
30.8	2.906	62
25.0	3.560	57
29.1	3.065	54
29.5	3.024	43
14.5	6.089	40

Structure:
a b c (Å): 6.2083 7.7343 9.8387
angles (deg): 93.04 97.80 97.65
Atoms (fractional coordinates):
1 Ag 0.1334 0.3581 0.4248
2 Ag 0.8666 0.6419 0.5752
3 H 0.0450 0.2726 0.0620
4 H 0.0815 0.0102 0.8032
5 H 0.1024 0.9957 0.6260
6 H 0.1108 0.4851 0.1309
7 H 0.2090 0.8610 0.1214
8 H 0.3236 0.1125 0.0289
9 H 0.3632 0.7426 0.2360
10 H 0.4031 0.8117 0.9042
11 H 0.5969 0.1883 0.0958
12 H 0.6368 0.2574 0.7640
13 H 0.6764 0.8875 0.9711
14 H 0.7910 0.1390 0.8786
15 H 0.8892 0.5149 0.8691
16 H 0.8976 0.0043 0.3740
17 H 0.9185 0.9898 0.1968
18 H 0.9550 0.7274 0.9380
19 C 0.1413 0.8716 0.3227
20 C 0.3030 0.5209 0.7506
21 C 0.3717 0.3617 0.1186
22 C 0.3908 0.7821 0.4872
23 C 0.6092 0.2179 0.5128
24 C 0.6283 0.6383 0.8814
25 C 0.6970 0.4791 0.2494
26 C 0.8587 0.1284 0.6773
27 N 0.0343 0.0469 0.7051
28 N 0.1268 0.5294 0.6900
29 N 0.1610 0.3836 0.0800
30 N 0.2020 0.8362 0.4556
31 N 0.2507 0.8272 0.2209
32 N 0.4348 0.2090 0.0862
33 N 0.4389 0.2647 0.4770
34 N 0.4944 0.5001 0.8105
35 N 0.5056 0.4999 0.1895
36 N 0.5611 0.7353 0.5230
37 N 0.5652 0.7910 0.9138
38 N 0.7493 0.1728 0.7791
39 N 0.7980 0.1638 0.5444
40 N 0.8390 0.6164 0.9200
41 N 0.8732 0.4706 0.3100
42 N 0.9657 0.9531 0.2949
43 F 0.1733 0.9048 0.9475
44 F 0.8267 0.0952 0.0525

Record 4
PtBr3N2: simulated powder XRD pattern (Cu Kα X-rays), based on a DFT-relaxed cell (GGA-PBE, the Materials Project).
Intensities are scaled so that the largest is 100.

The 10 most intense peaks (10 to 80 degrees two-theta), by intensity:
2θ/deg	d_spacing	I_rel
16.5	5.380	100
14.3	6.206	73
20.1	4.419	48
32.4	2.760	24
41.2	2.192	22
26.2	3.395	21
33.3	2.692	16
42.2	2.142	14
33.1	2.702	13
33.5	2.672	11

Structure:
a b c (Å): 8.7168 8.8373 13.5802
angles (deg): 90.00 90.00 90.00
Atoms (fractional coordinates):
1 Pt 0.2500 0.2500 0.1243
2 Pt 0.2500 0.2500 0.6246
3 Pt 0.7500 0.7500 0.3754
4 Pt 0.7500 0.7500 0.8757
5 Br 0.0331 0.7500 0.8752
6 Br 0.0360 0.7500 0.3752
7 Br 0.2500 0.2500 0.3061
8 Br 0.2500 0.2500 0.9427
9 Br 0.4640 0.7500 0.3752
10 Br 0.4669 0.7500 0.8752
11 Br 0.5331 0.2500 0.1248
12 Br 0.5360 0.2500 0.6248
13 Br 0.7500 0.7500 0.0573
14 Br 0.7500 0.7500 0.6939
15 Br 0.9640 0.2500 0.6248
16 Br 0.9669 0.2500 0.1248
17 N 0.2500 0.0202 0.1265
18 N 0.2500 0.0474 0.6253
19 N 0.2500 0.4526 0.6253
20 N 0.2500 0.4798 0.1265
21 N 0.7500 0.5202 0.8735
22 N 0.7500 0.5474 0.3747
23 N 0.7500 0.9526 0.3747
24 N 0.7500 0.9798 0.8735

Record 5
SmB4Rh4: simulated powder XRD pattern (Cu Kα X-rays), based on a DFT-relaxed cell (GGA-PBE, the Materials Project).
Intensities are scaled so that the largest is 100.

The 10 most intense peaks (10 to 80 degrees two-theta), by intensity:
2θ/deg	d_spacing	I_rel
39.4	2.286	100
35.5	2.527	79
39.7	2.271	73
29.0	3.079	45
44.8	2.023	35
70.5	1.335	30
63.7	1.460	23
33.6	2.671	22
23.4	3.795	21
63.9	1.456	19

Structure:
a b c (Å): 5.3665 5.3665 7.5195
angles (deg): 90.00 90.00 90.00
Atoms (fractional coordinates):
1 Sm 0.2500 0.7500 0.2500
2 Sm 0.7500 0.2500 0.7500
3 B 0.0814 0.2500 0.0992
4 B 0.2500 0.0814 0.5992
5 B 0.2500 0.4186 0.5992
6 B 0.4186 0.2500 0.0992
7 B 0.5814 0.7500 0.9008
8 B 0.7500 0.5814 0.4008
9 B 0.7500 0.9186 0.4008
10 B 0.9186 0.7500 0.9008
11 Rh 0.0011 0.7500 0.6060
12 Rh 0.2500 0.5011 0.8940
13 Rh 0.2500 0.9989 0.8940
14 Rh 0.4989 0.7500 0.6060
15 Rh 0.5011 0.2500 0.3940
16 Rh 0.7500 0.0011 0.1060
17 Rh 0.7500 0.4989 0.1060
18 Rh 0.9989 0.2500 0.3940

Record 6
CsCuCl3: simulated powder XRD pattern (Cu Kα X-rays), based on a DFT-relaxed cell (GGA-PBE, the Materials Project).
Intensities are scaled so that the largest is 100.

The 10 most intense peaks (10 to 80 degrees two-theta), by intensity:
2θ/deg	d_spacing	I_rel
19.8	4.491	100
24.5	3.635	86
30.8	2.900	80
31.6	2.835	66
30.6	2.923	44
31.8	2.814	44
23.9	3.721	44
50.2	1.817	39
40.2	2.245	35
19.2	4.617	26

Structure:
a b c (Å): 6.4798 7.2728 7.2740
angles (deg): 118.42 91.05 90.92
Atoms (fractional coordinates):
1 Cs 0.0000 0.0000 0.0000
2 Cs 0.4996 0.3203 0.6800
3 Cu 0.2486 0.6599 0.3395
4 Cu 0.7486 0.6597 0.3398
5 Cl 0.0686 0.5117 0.0244
6 Cl 0.4290 0.8080 0.6545
7 Cl 0.4984 0.7965 0.2029
8 Cl 0.5690 0.3447 0.1917
9 Cl 0.9286 0.9746 0.4877
10 Cl 0.9992 0.5230 0.4763